For AlNiBr7, DFT lattice parameters and positions (GGA-PBE) gives the simulated powder diffractogram in this record (Cu Kα, 1.54184 Å).
Peak positions follow from Bragg's law for the DFT cell and can differ from measured ones.

Most intense lines, 2θ = 10–80°, low angle first:
- 15.2 deg, rel. 40, hkl 0 1 1
- 16.1 deg, rel. 91, hkl 1 0 -2
- 24.9 deg, rel. 89, hkl 1 1 2
- 28.5 deg, rel. 67, hkl 0 2 1
- 29.2 deg, rel. 44, hkl 1 1 -4
- 29.5 deg, rel. 100, hkl 1 1 3
- 30.0 deg, rel. 64, hkl 2 1 -1
- 34.3 deg, rel. 54, hkl 1 1 -5
- 34.7 deg, rel. 42, hkl 1 1 4
- 38.8 deg, rel. 41, hkl 2 2 -1

Atomic structure:
abc: 6.726 6.417 14.581
angles: 90.00 104.18 90.00
Sites, in units of the cell vectors:
1 Al 0.000 0.002 0.000
2 Al 0.000 0.998 0.500
3 Ni 0.284 0.361 0.650
4 Ni 0.284 0.639 0.150
5 Br 0.214 0.430 0.263
6 Br 0.214 0.570 0.763
7 Br 0.324 0.154 0.510
8 Br 0.324 0.846 0.010
9 Br 0.514 0.171 0.769
10 Br 0.514 0.829 0.269
11 Br 0.537 0.418 0.133
12 Br 0.537 0.582 0.633
13 Br 0.768 0.145 0.370
14 Br 0.768 0.855 0.870
15 Br 0.966 0.353 0.991
16 Br 0.966 0.647 0.491
17 Br 0.969 0.151 0.643
18 Br 0.969 0.849 0.143

---

For AlWBr7, DFT lattice parameters and positions (GGA-PBE) gives the simulated powder diffractogram in this record (Cu Kα, 1.54184 Å).
Peak positions follow from Bragg's law for the DFT cell and can differ from measured ones.

Most intense lines, 2θ = 10–80°, low angle first:
- 11.8 deg, rel. 100, hkl 0 0 2
- 12.5 deg, rel. 74, hkl 1 0 0
- 15.8 deg, rel. 64, hkl 1 0 -2
- 18.4 deg, rel. 54, hkl 0 1 2
- 18.9 deg, rel. 43, hkl 1 1 0
- 27.3 deg, rel. 46, hkl 1 1 3
- 28.8 deg, rel. 73, hkl 2 1 -1
- 32.0 deg, rel. 45, hkl 1 1 4
- 33.7 deg, rel. 46, hkl 1 1 -5
- 38.2 deg, rel. 35, hkl 2 2 -1

Atomic structure:
abc: 7.146 6.285 15.219
angles: 90.00 98.83 90.00
Sites, in units of the cell vectors:
1 Al 0.000 0.015 0.000
2 Al 0.000 0.985 0.500
3 W 0.246 0.423 0.135
4 W 0.246 0.577 0.635
5 Br 0.010 0.361 0.501
6 Br 0.010 0.639 0.001
7 Br 0.130 0.353 0.744
8 Br 0.130 0.647 0.244
9 Br 0.304 0.165 0.998
10 Br 0.304 0.835 0.498
11 Br 0.429 0.184 0.240
12 Br 0.429 0.816 0.740
13 Br 0.512 0.359 0.606
14 Br 0.512 0.641 0.106
15 Br 0.784 0.117 0.883
16 Br 0.784 0.883 0.383
17 Br 0.937 0.167 0.135
18 Br 0.937 0.833 0.635

---

For Zr4AlCuC2, DFT lattice parameters and positions (GGA-PBE) gives the simulated powder diffractogram in this record (Cu Kα, 1.54184 Å).
Peak positions follow from Bragg's law for the DFT cell and can differ from measured ones.

Most intense lines, 2θ = 10–80°, low angle first:
- 12.6 deg, rel. 9, hkl 0 0 2
- 31.1 deg, rel. 23, hkl 1 0 0
- 31.8 deg, rel. 9, hkl 1 0 1
- 36.7 deg, rel. 100, hkl 1 0 3
- 38.3 deg, rel. 15, hkl 0 0 6
- 40.5 deg, rel. 8, hkl 1 0 4
- 50.2 deg, rel. 15, hkl 1 0 6
- 55.4 deg, rel. 22, hkl 1 1 0
- 68.2 deg, rel. 26, hkl 2 0 3
- 69.3 deg, rel. 16, hkl 1 1 6

Atomic structure:
abc: 3.319 3.319 14.087
angles: 90.00 90.00 120.00
Sites, in units of the cell vectors:
1 Zr 0.000 0.000 0.149
2 Zr 0.000 0.000 0.851
3 Zr 0.333 0.667 0.332
4 Zr 0.333 0.667 0.668
5 Al 0.000 0.000 0.500
6 Cu 0.333 0.667 0.000
7 C 0.667 0.333 0.242
8 C 0.667 0.333 0.758